[1]
The following is a theoretical PXRD pattern of LaPrAl2Si4. It was derived from a cell relaxed with PBE, using λ = 1.5418 Å (Cu Kα).
No peak broadening, texture or thermal motion is included.

The 6 most intense peaks (2θ = 10–80°), most intense first:
34.33°, I = 100, (0 1 3); 29.27°, I = 72, (0 1 2); 43.24°, I = 50, (1 1 0); 24.57°, I = 42, (1 0 0); 25.82°, I = 33, (0 1 1); 56.34°, I = 24, (2 0 3)

Cell and atoms:
abc: 4.1843 4.1843 11.3060
angles: 90.00 90.00 120.00
Space group P3m1 (No. 156)
Asymmetric unit:
La (0.0000, 0.0000, 0.0000) (multiplicity 1)
Pr (0.0000, 0.0000, 0.3657) (multiplicity 1)
Al (0.3333, 0.6667, 0.7631) (multiplicity 1)
Al (0.6667, 0.3333, 0.5965) (multiplicity 1)
Si (0.3333, 0.6667, 0.1786) (multiplicity 1)
Si (0.3333, 0.6667, 0.5369) (multiplicity 1)
Si (0.6667, 0.3333, 0.1895) (multiplicity 1)
Si (0.6667, 0.3333, 0.8240) (multiplicity 1)

=====

[2]
The following is a theoretical PXRD pattern of Sr3Re2O9. It was derived from a cell relaxed with PBE, using λ = 1.5418 Å (Cu Kα).
No peak broadening, texture or thermal motion is included.

The 6 most intense peaks (2θ = 10–80°), most intense first:
29.06°, I = 100, (0 1 5); 32.40°, I = 76, (1 1 0); 44.08°, I = 51, (2 0 5); 55.76°, I = 33, (1 2 5); 19.07°, I = 26, (1 0 1); 49.30°, I = 22, (1 0 10)

Cell and atoms:
abc: 5.5259 5.5259 20.0380
angles: 90.00 90.00 120.00
Space group R-3m (No. 166, hexagonal axes)
Asymmetric unit:
Sr (0.0000, 0.0000, 0.0000) (multiplicity 3)
Sr (0.0000, 0.0000, 0.2090) (multiplicity 6)
Re (0.0000, 0.0000, 0.3941) (multiplicity 6)
O (0.0000, 0.5000, 0.0000) (multiplicity 9)
O (0.0000, 0.5000, 0.2255) (multiplicity 18)

=====

[3]
The following is a theoretical PXRD pattern of Ac3Pm2Tl3. It was derived from a cell relaxed with PBE, using λ = 1.5418 Å (Cu Kα).
No peak broadening, texture or thermal motion is included.

The 6 most intense peaks (2θ = 10–80°), most intense first:
31.03°, I = 100, (2 1 1); 31.58°, I = 51, (1 1 2); 48.51°, I = 30, (2 1 3); 25.47°, I = 24, (0 0 2); 32.08°, I = 23, (3 0 0); 28.21°, I = 23, (2 1 0)

Cell and atoms:
abc: 9.6638 9.6638 6.9940
angles: 90.00 90.00 120.00
Space group P6_3/mcm (No. 193)
Asymmetric unit:
Ac (0.0000, 0.2436, 0.2500) (multiplicity 6)
Pm (0.3333, 0.6667, 0.0000) (multiplicity 4)
Tl (0.0000, 0.4073, 0.7500) (multiplicity 6)

=====

[4]
The following is a theoretical PXRD pattern of BaMg2TlAg. It was derived from a cell relaxed with PBE, using λ = 1.5418 Å (Cu Kα).
No peak broadening, texture or thermal motion is included.

The 6 most intense peaks (2θ = 10–80°), most intense first:
27.97°, I = 100, (1 0 3); 26.79°, I = 84, (1 1 0); 39.56°, I = 65, (1 0 5); 38.25°, I = 53, (2 0 0); 56.20°, I = 46, (2 1 5); 30.16°, I = 46, (1 1 2)

Cell and atoms:
abc: 4.706 4.706 13.018
angles: 90.00 90.00 90.00
Space group I4mm (No. 107)
Asymmetric unit:
Ba (0.000, 0.000, 0.000) (multiplicity 2)
Mg (0.000, 0.500, 0.240) (multiplicity 4)
Tl (0.000, 0.000, 0.386) (multiplicity 2)
Ag (0.000, 0.000, 0.618) (multiplicity 2)

=====

[5]
The following is a theoretical PXRD pattern of Dy4AlGe4Pd2. It was derived from a cell relaxed with PBE, using λ = 1.5418 Å (Cu Kα).
No peak broadening, texture or thermal motion is included.

The 6 most intense peaks (2θ = 10–80°), most intense first:
35.86°, I = 100, (1 1 2); 32.97°, I = 45, (3 1 1); 34.48°, I = 40, (3 1 -2); 42.39°, I = 30, (0 2 0); 40.23°, I = 18, (4 0 -3); 36.71°, I = 18, (5 1 0)

Cell and atoms:
abc: 15.666 4.265 7.050
angles: 90.00 107.40 90.00
Space group C2/m (No. 12)
Asymmetric unit:
Dy (0.085, 0.000, 0.377) (multiplicity 4)
Dy (0.155, 0.000, 0.922) (multiplicity 4)
Al (0.000, 0.500, 0.000) (multiplicity 2)
Ge (0.061, 0.500, 0.666) (multiplicity 4)
Ge (0.186, 0.500, 0.232) (multiplicity 4)
Pd (0.220, 0.500, 0.632) (multiplicity 4)